Entry 1:
The following is a theoretical X-ray powder pattern of Li7V4O11F. It was derived from DFT lattice parameters and positions (PBE+U), using Cu Kα.
Neutral-atom scattering factors, no anomalous dispersion.

Structure:
abc: 5.058 5.135 8.639
angles: 77.82 86.88 77.48
Space group P1 (No. 1)
Symmetry-distinct sites (fractional):
Li (0.000, 0.000, 0.000)
Li (0.024, 0.691, 0.335)
Li (0.261, 0.747, 0.756)
Li (0.478, 0.496, 0.501)
Li (0.516, 0.165, 0.839)
Li (0.745, 0.564, 0.927)
Li (0.777, 0.251, 0.255)
V (0.030, 0.320, 0.682)
V (0.261, 0.417, 0.091)
V (0.517, 0.837, 0.169)
V (0.719, 0.896, 0.583)
O (0.092, 0.648, 0.563)
O (0.131, 0.374, 0.884)
O (0.172, 0.070, 0.195)
O (0.378, 0.759, 0.982)
O (0.381, 0.116, 0.638)
O (0.384, 0.507, 0.271)
O (0.611, 0.192, 0.055)
O (0.648, 0.877, 0.383)
O (0.650, 0.564, 0.703)
O (0.872, 0.638, 0.133)
O (0.886, 0.004, 0.760)
F (0.855, 0.267, 0.472)

Peak list (12 most intense, 10 to 90 degrees two-theta, low angle first)
two_theta	I_rel	(hkl)
20.8	19	1 0 1
20.9	97	1 0 -1
21.0	100	0 0 2
22.7	54	1 1 0
28.2	46	1 -1 0
28.3	48	1 1 2
41.0	74	1 2 -1
44.9	63	-2 1 1
45.2	60	1 1 4
55.0	22	1 2 -3
61.6	17	0 1 -5
63.6	20	1 -3 0

---

Entry 2:
The following is a theoretical X-ray powder pattern of Li2VO2F. It was derived from DFT lattice parameters and positions (PBE+U), using Cu Kα.
Neutral-atom scattering factors, no anomalous dispersion.

Structure:
abc: 25.978 3.005 7.309
angles: 90.00 90.31 90.00
Space group Cm (No. 8)
Symmetry-distinct sites (fractional):
Li (0.000, 0.000, 0.000)
Li (0.032, 0.500, 0.263)
Li (0.103, 0.500, 0.972)
Li (0.136, 0.000, 0.287)
Li (0.202, 0.000, 0.969)
Li (0.235, 0.500, 0.286)
Li (0.302, 0.500, 0.969)
Li (0.334, 0.000, 0.283)
Li (0.405, 0.000, 0.007)
Li (0.444, 0.500, 0.257)
V (0.071, 0.000, 0.626)
V (0.170, 0.500, 0.629)
V (0.268, 0.000, 0.627)
V (0.367, 0.500, 0.626)
V (0.473, 0.000, 0.609)
O (0.004, 0.000, 0.471)
O (0.036, 0.500, 0.770)
O (0.104, 0.500, 0.474)
O (0.137, 0.000, 0.783)
O (0.203, 0.000, 0.473)
O (0.236, 0.500, 0.783)
O (0.302, 0.500, 0.472)
O (0.335, 0.000, 0.781)
O (0.403, 0.000, 0.494)
O (0.469, 0.000, 0.124)
F (0.073, 0.000, 0.126)
F (0.171, 0.500, 0.128)
F (0.269, 0.000, 0.127)
F (0.365, 0.500, 0.128)
F (0.437, 0.500, 0.782)

Peak list (12 most intense, 10 to 90 degrees two-theta, low angle first)
two_theta	I_rel	(hkl)
12.1	100	0 0 1
24.4	29	0 0 2
34.5	24	5 1 0
36.6	11	5 1 -1
36.8	5	10 0 1
42.6	50	5 1 -2
42.8	30	10 0 2
51.3	6	5 1 -3
61.8	19	0 2 0
62.0	10	10 0 -4
62.2	12	5 1 4
78.1	6	10 2 2

---

Entry 3:
The following is a theoretical X-ray powder pattern of Li2VOF5. It was derived from DFT lattice parameters and positions (PBE+U), using Cu Kα.
Neutral-atom scattering factors, no anomalous dispersion.

Structure:
abc: 4.9417 4.9417 13.4259
angles: 90.00 90.00 120.00
Space group P3_1 (No. 144)
Symmetry-distinct sites (fractional):
Li (0.0003, 0.9858, 0.9998)
Li (0.6606, 0.3319, 0.3333)
V (0.3111, 0.6452, 0.8334)
O (0.0405, 0.3739, 0.9033)
F (0.0158, 0.3565, 0.2384)
F (0.0192, 0.6649, 0.0777)
F (0.0240, 0.3506, 0.5725)
F (0.0261, 0.6611, 0.4114)
F (0.0303, 0.6730, 0.7445)

Peak list (12 most intense, 10 to 90 degrees two-theta, low angle first)
two_theta	I_rel	(hkl)
19.8	25	0 0 3
20.8	100	1 0 0
28.9	83	1 0 3
41.8	94	2 -1 3
45.8	8	0 1 6
47.1	18	2 0 3
55.4	44	2 -1 6
59.8	10	2 0 6
60.9	18	3 -1 3
65.4	24	3 0 0
72.0	7	3 -1 6
74.3	11	1 1 9

---

Entry 4:
The following is a theoretical X-ray powder pattern of Li2VO2F. It was derived from DFT lattice parameters and positions (PBE+U), using Cu Kα.
Neutral-atom scattering factors, no anomalous dispersion.

Structure:
abc: 6.013 6.023 7.943
angles: 67.90 79.12 60.06
Space group P1 (No. 1)
Symmetry-distinct sites (fractional):
Li (0.000, 0.000, 0.000)
Li (0.001, 0.538, 0.995)
Li (0.164, 0.834, 0.720)
Li (0.189, 0.308, 0.711)
Li (0.520, 0.503, 0.006)
Li (0.544, 0.998, 0.998)
Li (0.684, 0.835, 0.719)
Li (0.697, 0.295, 0.708)
V (0.349, 0.164, 0.356)
V (0.356, 0.666, 0.348)
V (0.845, 0.666, 0.347)
V (0.846, 0.175, 0.350)
O (0.010, 0.265, 0.501)
O (0.179, 0.067, 0.211)
O (0.183, 0.573, 0.210)
O (0.516, 0.263, 0.502)
O (0.519, 0.755, 0.499)
O (0.683, 0.574, 0.198)
O (0.687, 0.071, 0.209)
O (0.851, 0.917, 0.853)
F (0.018, 0.745, 0.519)
F (0.348, 0.416, 0.855)
F (0.350, 0.914, 0.856)
F (0.851, 0.416, 0.852)

Peak list (12 most intense, 10 to 90 degrees two-theta, low angle first)
two_theta	I_rel	(hkl)
12.0	100	0 0 1
24.2	30	0 0 2
34.4	24	2 2 1
36.5	6	0 2 0
36.6	10	2 2 2
42.4	29	0 2 -1
42.6	49	2 2 3
51.2	8	2 0 -3
61.6	21	2 4 2
61.7	14	4 2 1
61.8	8	0 2 5
77.7	9	4 4 0

---

Entry 5:
The following is a theoretical X-ray powder pattern of Li4V4O3F9. It was derived from DFT lattice parameters and positions (PBE+U), using Cu Kα.
Neutral-atom scattering factors, no anomalous dispersion.

Structure:
abc: 5.149 5.579 9.095
angles: 106.38 90.43 117.15
Space group P1 (No. 1)
Symmetry-distinct sites (fractional):
Li (0.000, 0.000, 0.000)
Li (0.218, 0.476, 0.761)
Li (0.461, 0.916, 0.484)
Li (0.700, 0.478, 0.254)
V (0.016, 0.096, 0.354)
V (0.297, 0.608, 0.107)
V (0.587, 0.107, 0.850)
V (0.782, 0.622, 0.613)
O (0.580, 0.808, 0.289)
O (0.580, 0.835, 0.662)
O (0.992, 0.338, 0.921)
F (0.001, 0.350, 0.224)
F (0.046, 0.828, 0.478)
F (0.092, 0.851, 0.151)
F (0.111, 0.842, 0.805)
F (0.459, 0.313, 0.045)
F (0.489, 0.343, 0.415)
F (0.525, 0.346, 0.725)
F (0.565, 0.828, 0.968)
F (0.957, 0.349, 0.561)

Peak list (12 most intense, 10 to 90 degrees two-theta, low angle first)
two_theta	I_rel	(hkl)
23.1	49	0 1 -2
23.6	100	1 0 1
32.1	19	1 1 -1
32.3	20	1 -2 1
32.4	19	0 1 2
39.1	12	1 1 -3
39.6	12	-1 1 3
39.8	18	1 0 3
47.2	12	0 2 -4
48.3	18	2 0 2
52.7	18	2 1 0
52.8	21	2 -3 0

---

Entry 6:
The following is a theoretical X-ray powder pattern of LiVOF4. It was derived from DFT lattice parameters and positions (PBE+U), using Cu Kα.
Neutral-atom scattering factors, no anomalous dispersion.

Structure:
abc: 5.402 5.697 7.034
angles: 104.48 96.26 112.17
Space group P-1 (No. 2)
Symmetry-distinct sites (fractional):
Li (0.168, 0.311, 0.247)
V (0.500, 0.000, 0.000)
V (0.500, 0.000, 0.500)
O (0.417, 0.018, 0.747)
F (0.131, 0.810, 0.983)
F (0.217, 0.663, 0.391)
F (0.266, 0.151, 0.441)
F (0.463, 0.310, 0.112)

Peak list (12 most intense, 10 to 90 degrees two-theta, low angle first)
two_theta	I_rel	(hkl)
17.7	100	0 1 0
18.2	92	1 0 0
19.4	69	1 -1 0
26.9	38	0 0 2
27.2	44	0 1 -2
28.9	22	1 0 -2
30.5	15	1 1 0
32.1	12	1 -1 2
36.3	11	2 0 -1
38.1	15	-1 2 1
40.6	12	2 -2 1
52.3	12	0 1 -4

---

Entry 7:
The following is a theoretical X-ray powder pattern of Li2VO2F2. It was derived from DFT lattice parameters and positions (PBE+U), using Cu Kα.
Neutral-atom scattering factors, no anomalous dispersion.

Structure:
abc: 5.913 5.971 10.121
angles: 87.81 73.07 60.32
Space group P1 (No. 1)
Symmetry-distinct sites (fractional):
Li (0.000, 0.000, 0.000)
Li (0.000, 0.500, 0.500)
Li (0.117, 0.440, 0.812)
Li (0.130, 0.937, 0.313)
Li (0.233, 0.886, 0.628)
Li (0.254, 0.385, 0.128)
Li (0.621, 0.437, 0.813)
Li (0.632, 0.939, 0.312)
V (0.600, 0.943, 0.814)
V (0.604, 0.192, 0.564)
V (0.641, 0.692, 0.064)
V (0.643, 0.442, 0.314)
O (0.380, 0.078, 0.692)
O (0.409, 0.816, 0.933)
O (0.412, 0.306, 0.441)
O (0.423, 0.569, 0.190)
O (0.818, 0.070, 0.690)
O (0.842, 0.806, 0.940)
O (0.843, 0.316, 0.433)
O (0.850, 0.578, 0.192)
F (0.383, 0.537, 0.685)
F (0.386, 0.296, 0.925)
F (0.393, 0.796, 0.425)
F (0.398, 0.036, 0.185)
F (0.846, 0.589, 0.701)
F (0.853, 0.347, 0.944)
F (0.857, 0.846, 0.444)
F (0.864, 0.089, 0.201)

Peak list (12 most intense, 10 to 90 degrees two-theta, low angle first)
two_theta	I_rel	(hkl)
18.2	100	1 1 1
20.6	18	0 1 1
30.2	14	2 1 1
31.0	8	0 1 -3
34.7	12	1 2 2
36.1	25	1 0 4
41.9	21	0 2 2
43.8	36	2 0 4
55.5	8	1 3 3
57.6	11	3 2 -2
62.2	6	2 0 -4
62.3	17	2 4 0

---

Entry 8:
The following is a theoretical X-ray powder pattern of Li3V4O3F9. It was derived from DFT lattice parameters and positions (PBE+U), using Cu Kα.
Neutral-atom scattering factors, no anomalous dispersion.

Structure:
abc: 5.195 5.545 17.279
angles: 88.63 82.42 62.55
Space group P1 (No. 1)
Symmetry-distinct sites (fractional):
Li (0.000, 0.000, 0.000)
Li (0.107, 0.254, 0.495)
Li (0.251, 0.346, 0.123)
Li (0.379, 0.657, 0.600)
Li (0.501, 0.740, 0.259)
Li (0.860, 0.407, 0.856)
V (0.185, 0.823, 0.804)
V (0.200, 0.349, 0.310)
V (0.401, 0.187, 0.925)
V (0.440, 0.697, 0.430)
V (0.681, 0.061, 0.555)
V (0.710, 0.549, 0.051)
V (0.921, 0.431, 0.675)
V (0.936, 0.979, 0.178)
O (0.345, 0.021, 0.844)
O (0.377, 0.548, 0.337)
O (0.487, 0.873, 0.518)
O (0.837, 0.297, 0.590)
O (0.936, 0.256, 0.115)
O (0.986, 0.395, 0.961)
F (0.021, 0.106, 0.271)
F (0.360, 0.222, 0.646)
F (0.385, 0.723, 0.153)
F (0.402, 0.406, 0.498)
F (0.414, 0.876, 0.000)
F (0.443, 0.495, 0.865)
F (0.454, 0.989, 0.357)
F (0.474, 0.675, 0.706)
F (0.483, 0.172, 0.207)
F (0.501, 0.324, 0.026)
F (0.856, 0.974, 0.903)
F (0.897, 0.460, 0.405)
F (0.911, 0.776, 0.084)
F (0.913, 0.157, 0.752)
F (0.930, 0.646, 0.237)
F (0.957, 0.739, 0.617)
F (0.987, 0.596, 0.775)
F (0.997, 0.949, 0.463)

Peak list (12 most intense, 10 to 90 degrees two-theta, low angle first)
two_theta	I_rel	(hkl)
23.3	95	1 0 -2
23.4	97	0 1 -3
23.8	100	1 1 3
32.2	32	1 -1 1
32.4	25	1 2 0
32.5	27	0 1 5
39.5	51	2 0 0
47.6	19	2 0 -4
47.8	20	0 2 -6
48.7	18	2 2 6
52.3	20	-2 1 1
52.5	48	1 -2 4

---

Entry 9:
The following is a theoretical X-ray powder pattern of LiV2OF5. It was derived from DFT lattice parameters and positions (PBE+U), using Cu Kα.
Neutral-atom scattering factors, no anomalous dispersion.

Structure:
abc: 5.529 7.668 8.891
angles: 113.71 105.39 94.67
Space group P1 (No. 1)
Symmetry-distinct sites (fractional):
Li (0.000, 0.000, 0.000)
Li (0.012, 0.515, 0.022)
Li (0.477, 0.261, 0.657)
V (0.219, 0.394, 0.332)
V (0.240, 0.899, 0.350)
V (0.581, 0.722, 0.996)
V (0.593, 0.230, 0.020)
V (0.899, 0.576, 0.680)
V (0.930, 0.057, 0.663)
O (0.145, 0.043, 0.536)
O (0.803, 0.704, 0.869)
O (0.945, 0.342, 0.132)
F (0.003, 0.403, 0.479)
F (0.192, 0.092, 0.243)
F (0.205, 0.097, 0.888)
F (0.270, 0.690, 0.801)
F (0.290, 0.683, 0.418)
F (0.322, 0.721, 0.127)
F (0.479, 0.391, 0.215)
F (0.523, 0.424, 0.544)
F (0.525, 0.419, 0.908)
F (0.608, 0.042, 0.480)
F (0.632, 0.013, 0.090)
F (0.679, 0.068, 0.803)
F (0.858, 0.770, 0.588)
F (0.880, 0.741, 0.196)
F (0.942, 0.356, 0.765)

Peak list (12 most intense, 10 to 90 degrees two-theta, low angle first)
two_theta	I_rel	(hkl)
23.3	96	0 2 -1
23.5	99	1 0 1
23.8	100	1 0 -2
32.5	72	1 -2 2
39.4	17	0 3 0
39.6	32	2 1 0
40.0	27	1 -1 3
47.6	20	0 4 -2
48.2	20	2 0 2
48.8	18	2 0 -4
52.5	30	1 -4 3
61.2	19	2 4 -3

---

Entry 10:
The following is a theoretical X-ray powder pattern of LiV5O7F. It was derived from DFT lattice parameters and positions (PBE+U), using Cu Kα.
Neutral-atom scattering factors, no anomalous dispersion.

Structure:
abc: 6.1459 6.1459 14.5878
angles: 90.00 90.00 120.00
Space group R3m (No. 160, hexagonal axes)
Symmetry-distinct sites (fractional):
Li (0.0000, 0.0000, 0.0000)
V (0.0000, 0.0000, 0.3785)
V (0.0000, 0.0000, 0.7677)
V (0.1678, 0.3355, 0.2228)
O (0.0000, 0.0000, 0.6315)
O (0.0239, 0.5119, 0.1387)
O (0.1772, 0.3544, 0.9561)
F (0.0000, 0.0000, 0.1376)

Peak list (12 most intense, 10 to 90 degrees two-theta, low angle first)
two_theta	I_rel	(hkl)
17.7	76	1 0 1
18.2	34	0 0 3
20.7	25	0 1 2
34.3	47	0 2 1
34.5	96	1 1 3
35.1	43	0 1 5
42.0	100	0 2 4
55.1	23	0 3 3
55.5	28	1 2 5
56.0	16	0 2 7
60.2	57	2 2 0
61.7	48	2 0 8